No. 1
The following is a simulated XRD peak list of Sr2Li3HgAu4. It was derived from DFT lattice parameters and positions (GGA-PBE), using Cu Ka.

Atomic structure:
Lattice parameters (Å, degrees): 4.5114 4.5114 11.1556 90.00 90.00 90.00
Fractional coordinates of all 10 atoms:
Sr1 0.0000 0.5000 0.2357
Sr2 0.5000 0.0000 0.7643
Li1 0.0000 0.5000 0.8900
Li2 0.5000 0.0000 0.1100
Li3 0.5000 0.5000 0.5000
Hg1 0.0000 0.0000 0.5000
Au1 0.0000 0.0000 0.0000
Au2 0.0000 0.5000 0.6599
Au3 0.5000 0.0000 0.3401
Au4 0.5000 0.5000 0.0000

Top 10 peaks for 10 to 80 degrees two-theta, in order of falling intensity:
- 2θ = 32.33°, intensity 100
- 2θ = 39.97°, intensity 45
- 2θ = 25.39°, intensity 38
- 2θ = 43.08°, intensity 26
- 2θ = 67.80°, intensity 24
- 2θ = 29.12°, intensity 21
- 2θ = 21.24°, intensity 20
- 2θ = 23.93°, intensity 17
- 2θ = 57.81°, intensity 16
- 2θ = 45.35°, intensity 15

=====

No. 2
The following is a simulated XRD peak list of SrCd3. It was derived from DFT lattice parameters and positions (GGA-PBE), using Cu Ka.

Atomic structure:
Lattice parameters (Å, degrees): 4.8464 4.8464 4.8464 90.00 90.00 90.00
Fractional coordinates of all 4 atoms:
Sr1 0.0000 0.0000 0.0000
Cd1 0.0000 0.5000 0.5000
Cd2 0.5000 0.0000 0.5000
Cd3 0.5000 0.5000 0.0000

Top 9 peaks for 10 to 80 degrees two-theta, in order of falling intensity:
- 2θ = 31.99°, intensity 100
- 2θ = 37.10°, intensity 50
- 2θ = 63.68°, intensity 39
- 2θ = 53.48°, intensity 34
- 2θ = 66.88°, intensity 11
- 2θ = 79.03°, intensity 5
- 2θ = 18.31°, intensity 1
- 2θ = 26.00°, intensity 1
- 2θ = 41.67°, intensity 1

=====

No. 3
The following is a simulated XRD peak list of Ac3CoRh. It was derived from DFT lattice parameters and positions (GGA-PBE), using Cu Ka.

Atomic structure:
Lattice parameters (Å, degrees): 7.9455 4.1854 9.9154 90.00 103.59 90.00
Fractional coordinates of all 10 atoms:
Ac1 0.0207 0.2500 0.3412
Ac2 0.2031 0.2500 0.0096
Ac3 0.4634 0.2500 0.6840
Ac4 0.5366 0.7500 0.3160
Ac5 0.7969 0.7500 0.9904
Ac6 0.9793 0.7500 0.6588
Co1 0.4523 0.7500 0.9618
Co2 0.5477 0.2500 0.0382
Rh1 0.2484 0.7500 0.4952
Rh2 0.7516 0.2500 0.5048

Top 10 peaks for 10 to 80 degrees two-theta, in order of falling intensity:
- 2θ = 26.87°, intensity 100
- 2θ = 40.31°, intensity 36
- 2θ = 25.96°, intensity 36
- 2θ = 27.77°, intensity 33
- 2θ = 28.83°, intensity 31
- 2θ = 48.99°, intensity 23
- 2θ = 43.23°, intensity 21
- 2θ = 34.96°, intensity 21
- 2θ = 32.22°, intensity 15
- 2θ = 50.96°, intensity 15

=====

No. 4
The following is a simulated XRD peak list of BaCa2. It was derived from DFT lattice parameters and positions (GGA-PBE), using Cu Ka.

Atomic structure:
Lattice parameters (Å, degrees): 6.4910 6.4910 3.9224 90.00 90.00 120.00
Fractional coordinates of all 3 atoms:
Ba1 0.0000 0.0000 0.0000
Ca1 0.3333 0.6667 0.3534
Ca2 0.6667 0.3333 0.6466

Top 10 peaks for 10 to 80 degrees two-theta, in order of falling intensity:
- 2θ = 27.73°, intensity 100
- 2θ = 27.48°, intensity 86
- 2θ = 15.76°, intensity 51
- 2θ = 48.74°, intensity 40
- 2θ = 39.44°, intensity 38
- 2θ = 49.21°, intensity 18
- 2θ = 64.29°, intensity 17
- 2θ = 48.59°, intensity 17
- 2θ = 64.68°, intensity 15
- 2θ = 35.91°, intensity 11

=====

No. 5
The following is a simulated XRD peak list of TlBrF. It was derived from DFT lattice parameters and positions (GGA-PBE), using Cu Ka.

Atomic structure:
Lattice parameters (Å, degrees): 14.9205 4.0724 7.2852 90.00 108.60 90.00
Fractional coordinates of all 12 atoms:
Tl1 0.0000 0.0000 0.0000
Tl2 0.2066 0.5000 0.7983
Tl3 0.5000 0.5000 0.0000
Tl4 0.7066 0.0000 0.7983
Br1 0.1312 0.0000 0.5298
Br2 0.2731 0.0000 0.0775
Br3 0.6312 0.5000 0.5298
Br4 0.7731 0.5000 0.0775
F1 0.0734 0.5000 0.8750
F2 0.3409 0.5000 0.7456
F3 0.5734 0.0000 0.8750
F4 0.8409 0.0000 0.7456

Top 10 peaks for 10 to 80 degrees two-theta, in order of falling intensity:
- 2θ = 12.82°, intensity 100
- 2θ = 25.16°, intensity 62
- 2θ = 24.35°, intensity 58
- 2θ = 33.05°, intensity 54
- 2θ = 34.25°, intensity 48
- 2θ = 12.52°, intensity 27
- 2θ = 28.97°, intensity 25
- 2θ = 14.80°, intensity 23
- 2θ = 47.79°, intensity 20
- 2θ = 44.47°, intensity 20

=====

No. 6
The following is a simulated XRD peak list of Nb2V2Ni. It was derived from DFT lattice parameters and positions (GGA-PBE), using Cu Ka.

Atomic structure:
Lattice parameters (Å, degrees): 6.3594 6.3594 3.8189 90.00 90.00 90.00
Fractional coordinates of all 10 atoms:
Nb1 0.1760 0.3240 0.0000
Nb2 0.3240 0.8240 0.0000
Nb3 0.6760 0.1760 0.0000
Nb4 0.8240 0.6760 0.0000
V1 0.1321 0.6321 0.5000
V2 0.3679 0.1321 0.5000
V3 0.6321 0.8679 0.5000
V4 0.8679 0.3679 0.5000
Ni1 0.0000 0.0000 0.5000
Ni2 0.5000 0.5000 0.5000

Top 10 peaks for 10 to 80 degrees two-theta, in order of falling intensity:
- 2θ = 39.51°, intensity 100
- 2θ = 36.78°, intensity 41
- 2θ = 45.08°, intensity 31
- 2θ = 47.62°, intensity 20
- 2θ = 67.66°, intensity 17
- 2θ = 65.24°, intensity 15
- 2θ = 40.10°, intensity 10
- 2θ = 31.46°, intensity 8
- 2θ = 67.08°, intensity 8
- 2θ = 30.72°, intensity 8

=====

No. 7
The following is a simulated XRD peak list of CoNi5. It was derived from DFT lattice parameters and positions (GGA-PBE), using Cu Ka.

Atomic structure:
Lattice parameters (Å, degrees): 2.4899 2.4899 12.1933 90.00 90.00 120.00
Fractional coordinates of all 6 atoms:
Co1 0.0000 0.0000 0.0000
Ni1 0.0000 0.0000 0.3327
Ni2 0.0000 0.0000 0.6673
Ni3 0.6667 0.3333 0.1646
Ni4 0.6667 0.3333 0.5000
Ni5 0.6667 0.3333 0.8354

Top 5 peaks for 10 to 80 degrees two-theta, in order of falling intensity:
- 2θ = 47.75°, intensity 100
- 2θ = 44.59°, intensity 27
- 2θ = 41.90°, intensity 25
- 2θ = 76.52°, intensity 15
- 2θ = 62.84°, intensity 14

=====

No. 8
The following is a simulated XRD peak list of BaZnTe2O7. It was derived from DFT lattice parameters and positions (GGA-PBE), using Cu Ka.

Atomic structure:
Lattice parameters (Å, degrees): 5.6283 8.6963 8.6963 129.58 90.00 90.00
Fractional coordinates of all 22 atoms:
Ba1 0.2500 0.2114 0.7886
Ba2 0.7500 0.7886 0.2114
Zn1 0.2500 0.6299 0.4026
Zn2 0.7500 0.4026 0.6299
Te1 0.2500 0.1719 0.3195
Te2 0.2500 0.6834 0.8383
Te3 0.7500 0.3195 0.1719
Te4 0.7500 0.8383 0.6834
O1 0.0000 0.8722 0.8722
O2 0.0060 0.5352 0.8462
O3 0.0066 0.4534 0.1644
O4 0.2500 0.5140 0.5471
O5 0.2500 0.8671 0.1352
O6 0.4934 0.4534 0.1644
O7 0.4940 0.5352 0.8462
O8 0.5000 0.8722 0.8722
O9 0.5060 0.8462 0.5352
O10 0.5066 0.1644 0.4534
O11 0.7500 0.1352 0.8671
O12 0.7500 0.5471 0.5140
O13 0.9934 0.1644 0.4534
O14 0.9940 0.8462 0.5352

Top 10 peaks for 10 to 80 degrees two-theta, in order of falling intensity:
- 2θ = 31.06°, intensity 100
- 2θ = 27.67°, intensity 74
- 2θ = 26.15°, intensity 49
- 2θ = 31.80°, intensity 39
- 2θ = 26.60°, intensity 38
- 2θ = 41.93°, intensity 35
- 2θ = 55.34°, intensity 22
- 2θ = 56.19°, intensity 19
- 2θ = 57.37°, intensity 18
- 2θ = 59.78°, intensity 18

=====

No. 9
The following is a simulated XRD peak list of Li2Cu7SiGe2. It was derived from DFT lattice parameters and positions (GGA-PBE), using Cu Ka.

Atomic structure:
Lattice parameters (Å, degrees): 3.6813 3.6813 11.6866 90.23 90.23 90.11
Fractional coordinates of all 12 atoms:
Li1 0.0014 0.0014 0.3158
Li2 0.9986 0.9986 0.6842
Cu1 0.0000 0.0000 0.0000
Cu2 0.0011 0.5015 0.1532
Cu3 0.2628 0.2628 0.5003
Cu4 0.4985 0.9989 0.8468
Cu5 0.5015 0.0011 0.1532
Cu6 0.7372 0.7372 0.4997
Cu7 0.9989 0.4985 0.8468
Si1 0.5000 0.5000 0.0000
Ge1 0.4986 0.4986 0.6916
Ge2 0.5014 0.5014 0.3084

Top 10 peaks for 10 to 80 degrees two-theta, in order of falling intensity:
- 2θ = 41.67°, intensity 100
- 2θ = 46.67°, intensity 81
- 2θ = 41.88°, intensity 60
- 2θ = 50.17°, intensity 36
- 2θ = 35.29°, intensity 31
- 2θ = 49.52°, intensity 27
- 2θ = 25.37°, intensity 22
- 2θ = 22.83°, intensity 19
- 2θ = 37.80°, intensity 18
- 2θ = 24.18°, intensity 16

=====

No. 10
The following is a simulated XRD peak list of Dy4IrSe3. It was derived from DFT lattice parameters and positions (GGA-PBE), using Cu Ka.

Atomic structure:
Lattice parameters (Å, degrees): 8.3824 11.6693 4.0273 90.00 90.00 90.00
Fractional coordinates of all 16 atoms:
Dy1 0.0000 0.2383 0.0000
Dy2 0.0000 0.7617 0.0000
Dy3 0.2265 0.0000 0.5000
Dy4 0.2735 0.5000 0.5000
Dy5 0.5000 0.2617 0.0000
Dy6 0.5000 0.7383 0.0000
Dy7 0.7265 0.5000 0.5000
Dy8 0.7735 0.0000 0.5000
Ir1 0.0000 0.0000 0.0000
Ir2 0.5000 0.5000 0.0000
Se1 0.0000 0.5000 0.0000
Se2 0.2500 0.2500 0.5000
Se3 0.2500 0.7500 0.5000
Se4 0.5000 0.0000 0.0000
Se5 0.7500 0.2500 0.5000
Se6 0.7500 0.7500 0.5000

Top 10 peaks for 10 to 80 degrees two-theta, in order of falling intensity:
- 2θ = 30.79°, intensity 100
- 2θ = 44.00°, intensity 73
- 2θ = 30.65°, intensity 51
- 2θ = 13.00°, intensity 21
- 2θ = 55.44°, intensity 21
- 2θ = 53.87°, intensity 19
- 2θ = 43.17°, intensity 18
- 2θ = 45.02°, intensity 18
- 2θ = 72.52°, intensity 15
- 2θ = 72.75°, intensity 15

=====

No. 11
The following is a simulated XRD peak list of LiZrTi. It was derived from DFT lattice parameters and positions (GGA-PBE), using Cu Ka.

Atomic structure:
Lattice parameters (Å, degrees): 3.0419 3.0419 7.6640 90.00 90.00 120.00
Fractional coordinates of all 3 atoms:
Li1 0.0000 0.0000 0.0000
Zr1 0.3333 0.6667 0.6397
Ti1 0.6667 0.3333 0.3331

Top 10 peaks for 10 to 80 degrees two-theta, in order of falling intensity:
- 2θ = 11.55°, intensity 100
- 2θ = 36.05°, intensity 69
- 2θ = 41.60°, intensity 51
- 2θ = 35.13°, intensity 19
- 2θ = 34.03°, intensity 18
- 2θ = 49.71°, intensity 13
- 2θ = 59.67°, intensity 13
- 2θ = 72.30°, intensity 13
- 2θ = 60.91°, intensity 11
- 2θ = 23.21°, intensity 11